The following is a computed X-ray diffraction stick pattern of Li6V2OF11. It was derived from a DFT-relaxed cell (PBE+U, Alexandria), using Cu Kα X-rays.
Lines closer than 0.1° are merged.

Structural model:
Cell: 5.5106 5.5255 8.5248 Å, 86.84 78.02 61.38°
Sites, in units of the cell vectors:
Li1 0.0000 0.0000 0.0000
Li2 0.0250 0.3433 0.5056
Li3 0.1716 0.3061 0.1398
Li4 0.2755 0.7332 0.6747
Li5 0.5976 0.6255 0.2022
Li6 0.8046 0.5678 0.8345
V1 0.5345 0.1548 0.7512
V2 0.9348 0.9229 0.3624
O1 0.7053 0.9415 0.5349
F1 0.1628 0.5205 0.3273
F2 0.1890 0.4125 0.6702
F3 0.2007 0.9333 0.4822
F4 0.2326 0.9184 0.1714
F5 0.3777 0.9049 0.8289
F6 0.3912 0.3577 0.9544
F7 0.6873 0.4127 0.6751
F8 0.7555 0.9013 0.1960
F9 0.7947 0.3211 0.3454
F10 0.8648 0.3910 0.0256
F11 0.8841 0.8920 0.8283

Peak list (10 most intense, 10 to 90 degrees two-theta, by angle)
hkl 0 1 0, 18.32°, d = 4.844 Å, I 49; hkl 1 1 0, 18.93°, d = 4.688 Å, I 48; hkl 1 0 1, 19.57°, d = 4.537 Å, I 100; hkl 1 1 1, 20.25°, d = 4.386 Å, I 54; hkl 0 1 -1, 20.73°, d = 4.284 Å, I 46; hkl 0 0 2, 21.34°, d = 4.164 Å, I 48; hkl 1 0 -1, 23.46°, d = 3.792 Å, I 51; hkl 1 1 -2, 30.85°, d = 2.898 Å, I 34; hkl 0 2 0, 37.12°, d = 2.422 Å, I 52; hkl 0 1 3, 38.18°, d = 2.357 Å, I 56